Computed X-ray diffraction stick pattern
Compound: Ba8Re2W3O24
Radiation: copper Kα
Structure: a DFT-relaxed cell (PBE+U, Alexandria)
Lines closer than 0.1° are merged.

Cell and atoms:
```
Ba8Re2W3O24
1.0
2.9110 1.6807 19.4609
-2.9110 1.6807 19.4609
0.0000 -3.3614 19.4609
Ba Re W O
8 2 3 24
direct
0.1148 0.1148 0.1148
0.1849 0.1849 0.1849
0.2710 0.2710 0.2710
0.3506 0.3506 0.3506
0.6494 0.6494 0.6494
0.7290 0.7290 0.7290
0.8151 0.8151 0.8151
0.8852 0.8852 0.8852
0.0390 0.0390 0.0390
0.9610 0.9610 0.9610
0.4164 0.4164 0.4164
0.5000 0.5000 0.5000
0.5836 0.5836 0.5836
0.1123 0.5902 0.5902
0.1324 0.1324 0.6686
0.1324 0.6686 0.1324
0.1987 0.6790 0.6790
0.2233 0.2233 0.7293
0.2233 0.7293 0.2233
0.2707 0.7767 0.7767
0.3210 0.3210 0.8013
0.3210 0.8013 0.3210
0.3314 0.8676 0.8676
0.4098 0.4098 0.8877
0.4098 0.8877 0.4098
0.5902 0.1123 0.5902
0.5902 0.5902 0.1123
0.6686 0.1324 0.1324
0.6790 0.1987 0.6790
0.6790 0.6790 0.1987
0.7293 0.2233 0.2233
0.7767 0.2707 0.7767
0.7767 0.7767 0.2707
0.8013 0.3210 0.3210
0.8676 0.3314 0.8676
0.8676 0.8676 0.3314
0.8877 0.4098 0.4098
```

Largest 12 diffraction maxima, by angle, 10 to 90 degrees two-theta:
2θ = 13.65°, I = 9; 2θ = 26.58°, I = 100; 2θ = 30.71°, I = 74; 2θ = 41.06°, I = 44; 2θ = 44.15°, I = 18; 2θ = 52.14°, I = 30; 2θ = 54.61°, I = 15; 2θ = 54.74°, I = 10; 2θ = 63.96°, I = 14; 2θ = 64.09°, I = 13; 2θ = 70.53°, I = 13; 2θ = 88.96°, I = 8